For LiMg2Ag4, a GGA-PBE-relaxed structure gives the computed powder diffractogram in this record (Cu Kα).
Neutral-atom scattering factors, no anomalous dispersion.

Top 6 peaks for 10 to 80 degrees two-theta, in order of falling intensity:
| hkl | 2θ/deg | d_spacing | intensity |
| --- | --- | --- | --- |
| 2 0 2 | 38.25 | 2.353 | 1000 |
| 0 0 2 | 22.28 | 3.991 | 617 |
| 2 0 0 | 30.69 | 2.914 | 553 |
| 2 2 0 | 43.95 | 2.060 | 332 |
| 2 2 2 | 49.81 | 1.831 | 272 |
| 4 2 2 | 76.98 | 1.239 | 236 |

Atomic structure:
a = 5.8273 Å, b = 5.8273 Å, c = 7.9812 Å
α = 90.00°, β = 90.00°, γ = 90.00°
Space group I4/mmm (No. 139)
Inequivalent atoms, fractional coordinates:
Li 0.0000 0.0000 0.0000
Mg 0.0000 0.5000 0.0000
Ag 0.2500 0.2500 0.2500